Calculated X-ray powder pattern of KCaFeBiO6 for a wavelength of 1.5418 Å, from a crystal structure in Alexandria, relaxed with GGA+U.
Peak positions follow from Bragg's law for the DFT cell and can differ from measured ones.

Structure:
abc: 8.186 8.186 8.186
angles: 90.00 90.00 90.00
Space group F-43m (No. 216)
Inequivalent atoms, fractional coordinates:
K (0.000, 0.000, 0.000) x4
Ca (0.000, 0.000, 0.500) x4
Fe (0.250, 0.250, 0.250) x4
Bi (0.250, 0.250, 0.750) x4
O (0.007, 0.250, 0.250) x24

The 10 most intense peaks (2θ from 5° to 70°), by angle:
- 4.726 Å, intensity 426, hkl 1 1 1
- 4.093 Å, intensity 557, hkl 2 0 0
- 2.894 Å, intensity 1000, hkl 2 2 0
- 2.468 Å, intensity 290, hkl 3 1 1
- 2.047 Å, intensity 360, hkl 4 0 0
- 1.878 Å, intensity 145, hkl 3 3 1
- 1.830 Å, intensity 251, hkl 4 2 0
- 1.671 Å, intensity 395, hkl 4 2 2
- 1.447 Å, intensity 214, hkl 4 4 0
- 1.364 Å, intensity 119, hkl 6 0 0